# 1
PmGaSeO2: computed powder diffractogram (a wavelength of 1.5418 Å), based on a DFT-relaxed cell (PBE, Alexandria).
Peak positions follow from Bragg's law for the DFT cell and can differ from measured ones.

Cell and atoms:
```
data_PmGaSeO2
_symmetry_space_group_name_H-M 'P 1 21/m 1'
_symmetry_Int_Tables_number 11
_cell_length_a 6.349
_cell_length_b 4.106
_cell_length_c 7.272
_cell_angle_alpha 90.00
_cell_angle_beta 93.85
_cell_angle_gamma 90.00
loop_
_symmetry_equiv_pos_as_xyz
'x,y,z'
'-x,-y,-z'
'-x,y+1/2,-z'
'x,-y+1/2,z'
loop_
_atom_site_label
_atom_site_type_symbol
_atom_site_fract_x
_atom_site_fract_y
_atom_site_fract_z
Pm1 Pm 0.220 0.250 0.118
Ga1 Ga 0.091 0.250 0.639
Se1 Se 0.450 0.250 0.755
O1 O 0.010 0.250 0.384
O2 O 0.047 0.750 0.131
```

Peak list (12 most intense, 2θ = 10–90°, in order of rising 2θ)
2θ 12.2, intensity 25.8, (0 0 1)
2θ 25.9, intensity 100.0, (1 1 0)
2θ 27.5, intensity 65.5, (1 0 -2)
2θ 29.1, intensity 39.1, (1 1 1)
2θ 31.6, intensity 18.6, (2 0 1)
2θ 32.9, intensity 41.3, (0 1 2)
2θ 37.3, intensity 25.4, (2 1 -1)
2θ 38.6, intensity 30.4, (2 1 1)
2θ 39.0, intensity 28.5, (2 0 2)
2θ 42.7, intensity 23.5, (2 1 -2)
2θ 44.1, intensity 30.9, (0 2 0)
2θ 52.8, intensity 21.1, (1 2 -2)


# 2
PmGa2TeO8: computed powder diffractogram (a wavelength of 1.5418 Å), based on a DFT-relaxed cell (PBE, Alexandria).
Peak positions follow from Bragg's law for the DFT cell and can differ from measured ones.

Cell and atoms:
```
data_PmGa2TeO8
_symmetry_space_group_name_H-M 'I -4 m 2'
_symmetry_Int_Tables_number 119
_symmetry_space_group_name_Hall 'I -4 -2'
_cell_length_a 6.888
_cell_length_b 6.888
_cell_length_c 6.550
_cell_angle_alpha 90.00
_cell_angle_beta 90.00
_cell_angle_gamma 90.00
loop_
_atom_site_label
_atom_site_type_symbol
_atom_site_fract_x
_atom_site_fract_y
_atom_site_fract_z
Pm1 Pm 0.000 0.000 0.000
Ga1 Ga 0.000 0.000 0.500
Ga2 Ga 0.000 0.500 0.250
Te1 Te 0.000 0.500 0.750
O1 O 0.000 0.203 0.691
O2 O 0.000 0.331 0.032
```

Peak list (12 most intense, 2θ = 10–90°, in order of rising 2θ)
2θ 18.7, intensity 21.7, (1 0 1)
2θ 25.9, intensity 100.0, (2 0 0)
2θ 33.0, intensity 76.3, (1 1 2)
2θ 36.9, intensity 21.8, (2 2 0)
2θ 50.3, intensity 64.4, (3 1 2)
2θ 53.2, intensity 15.6, (4 0 0)
2θ 60.1, intensity 13.8, (4 2 0)
2θ 62.8, intensity 15.2, (2 0 4)
2θ 64.0, intensity 19.3, (3 3 2)
2θ 76.2, intensity 13.1, (5 1 2)
2θ 86.8, intensity 11.1, (4 2 4)
2θ 87.9, intensity 12.0, (5 3 2)


# 3
PmTlGaO4: computed powder diffractogram (a wavelength of 1.5418 Å), based on a DFT-relaxed cell (PBE, Alexandria).
Peak positions follow from Bragg's law for the DFT cell and can differ from measured ones.

Cell and atoms:
```
data_PmTlGaO4
_symmetry_space_group_name_H-M 'I m m a'
_symmetry_Int_Tables_number 74
_symmetry_space_group_name_Hall '-I 2b 2'
_cell_length_a 6.381
_cell_length_b 7.035
_cell_length_c 9.483
_cell_angle_alpha 90.00
_cell_angle_beta 90.00
_cell_angle_gamma 90.00
loop_
_atom_site_label
_atom_site_type_symbol
_atom_site_fract_x
_atom_site_fract_y
_atom_site_fract_z
Pm1 Pm 0.000 0.000 0.000
Tl1 Tl 0.250 0.250 0.250
Ga1 Ga 0.000 0.250 0.632
O1 O 0.000 0.028 0.748
O2 O 0.248 0.250 0.516
```

Peak list (12 most intense, 2θ = 10–90°, in order of rising 2θ)
2θ 15.7, intensity 75.8, (0 1 1)
2θ 16.7, intensity 35.0, (1 0 1)
2θ 30.5, intensity 68.3, (1 2 1)
2θ 31.0, intensity 51.8, (0 1 3)
2θ 31.6, intensity 99.6, (0 2 2)
2θ 32.2, intensity 100.0, (2 1 1)
2θ 33.9, intensity 49.7, (2 0 2)
2θ 38.0, intensity 27.8, (0 0 4)
2θ 38.1, intensity 54.9, (2 2 0)
2θ 49.2, intensity 26.3, (2 3 1)
2θ 52.0, intensity 22.0, (0 4 0)
2θ 54.9, intensity 75.2, (2 2 4)


# 4
Pr5Ga2O2: computed powder diffractogram (a wavelength of 1.5418 Å), based on a DFT-relaxed cell (PBE, Alexandria).
Peak positions follow from Bragg's law for the DFT cell and can differ from measured ones.

Cell and atoms:
```
data_Pr5Ga2O2
_symmetry_space_group_name_H-M 'I m a 2'
_symmetry_Int_Tables_number 46
_cell_length_a 19.128
_cell_length_b 6.905
_cell_length_c 7.036
_cell_angle_alpha 90.00
_cell_angle_beta 90.00
_cell_angle_gamma 90.00
loop_
_symmetry_equiv_pos_as_xyz
'x,y,z'
'-x,-y,z'
'-x+1/2,y,z'
'x+1/2,-y,z'
'x+1/2,y+1/2,z+1/2'
'-x+1/2,-y+1/2,z+1/2'
'-x,y+1/2,z+1/2'
'x,-y+1/2,z+1/2'
loop_
_atom_site_label
_atom_site_type_symbol
_atom_site_fract_x
_atom_site_fract_y
_atom_site_fract_z
Pr1 Pr 0.023 0.250 0.000
Pr2 Pr 0.138 0.603 0.249
Pr3 Pr 0.250 0.250 0.000
Ga1 Ga 0.129 0.042 0.250
O1 O 0.000 0.000 0.750
O2 O 0.250 0.010 0.750
```

Peak list (12 most intense, 2θ = 10–90°, in order of rising 2θ)
2θ 26.6, intensity 56.0, (5 1 0)
2θ 28.9, intensity 35.1, (1 1 2)
2θ 29.2, intensity 28.6, (1 2 1)
2θ 31.6, intensity 100.0, (4 0 2)
2θ 32.0, intensity 49.5, (4 2 0)
2θ 36.5, intensity 51.3, (0 2 2)
2θ 37.3, intensity 21.7, (5 2 1)
2θ 37.6, intensity 26.2, (8 0 0)
2θ 52.0, intensity 42.8, (0 0 4)
2θ 53.2, intensity 19.2, (5 3 2)
2θ 53.4, intensity 17.3, (8 2 2)
2θ 62.3, intensity 14.8, (4 2 4)


# 5
PrGa4O7: computed powder diffractogram (a wavelength of 1.5418 Å), based on a DFT-relaxed cell (PBE, Alexandria).
Peak positions follow from Bragg's law for the DFT cell and can differ from measured ones.

Cell and atoms:
```
data_PrGa4O7
_symmetry_space_group_name_H-M 'P m n 21'
_symmetry_Int_Tables_number 31
_cell_length_a 13.236
_cell_length_b 5.304
_cell_length_c 5.067
_cell_angle_alpha 90.00
_cell_angle_beta 90.00
_cell_angle_gamma 90.00
loop_
_symmetry_equiv_pos_as_xyz
'x,y,z'
'-x+1/2,-y,z+1/2'
'-x,y,z'
'x+1/2,-y,z+1/2'
loop_
_atom_site_label
_atom_site_type_symbol
_atom_site_fract_x
_atom_site_fract_y
_atom_site_fract_z
Pr1 Pr 0.000 0.085 0.000
Ga1 Ga 0.120 0.654 0.442
Ga2 Ga 0.247 0.176 0.417
O1 O 0.000 0.795 0.311
O2 O 0.119 0.777 0.792
O3 O 0.121 0.317 0.326
O4 O 0.231 0.834 0.290
```

Peak list (12 most intense, 2θ = 10–90°, in order of rising 2θ)
2θ 16.7, intensity 27.8, (0 1 0)
2θ 25.2, intensity 100.0, (1 1 1)
2θ 26.3, intensity 25.2, (3 1 0)
2θ 26.8, intensity 72.9, (3 0 1)
2θ 27.8, intensity 90.6, (2 1 1)
2θ 31.9, intensity 72.7, (4 1 0)
2θ 35.4, intensity 43.9, (0 0 2)
2θ 36.6, intensity 28.9, (2 2 0)
2θ 38.4, intensity 32.9, (5 0 1)
2θ 40.7, intensity 39.4, (2 2 1)
2θ 48.4, intensity 28.2, (4 1 2)
2θ 55.5, intensity 26.1, (8 0 0)


# 6
PrGa2SbO8: computed powder diffractogram (a wavelength of 1.5418 Å), based on a DFT-relaxed cell (PBE, Alexandria).
Peak positions follow from Bragg's law for the DFT cell and can differ from measured ones.

Cell and atoms:
```
data_PrGa2SbO8
_symmetry_space_group_name_H-M 'I -4 m 2'
_symmetry_Int_Tables_number 119
_symmetry_space_group_name_Hall 'I -4 -2'
_cell_length_a 6.869
_cell_length_b 6.869
_cell_length_c 6.759
_cell_angle_alpha 90.00
_cell_angle_beta 90.00
_cell_angle_gamma 90.00
loop_
_atom_site_label
_atom_site_type_symbol
_atom_site_fract_x
_atom_site_fract_y
_atom_site_fract_z
Pr1 Pr 0.000 0.000 0.000
Ga1 Ga 0.000 0.000 0.500
Ga2 Ga 0.000 0.500 0.250
Sb1 Sb 0.000 0.500 0.750
O1 O 0.000 0.201 0.691
O2 O 0.000 0.336 0.037
```

Peak list (12 most intense, 2θ = 10–90°, in order of rising 2θ)
2θ 18.4, intensity 19.5, (1 0 1)
2θ 25.9, intensity 100.0, (2 0 0)
2θ 32.3, intensity 79.2, (1 1 2)
2θ 37.0, intensity 21.8, (2 2 0)
2θ 49.9, intensity 65.3, (3 1 2)
2θ 53.3, intensity 15.1, (4 0 0)
2θ 60.3, intensity 13.3, (4 2 0)
2θ 61.1, intensity 16.4, (2 0 4)
2θ 63.7, intensity 19.4, (3 3 2)
2θ 76.1, intensity 13.1, (5 1 2)
2θ 85.4, intensity 11.4, (4 2 4)
2θ 87.7, intensity 12.0, (5 3 2)


# 7
Pr2ScGaO6: computed powder diffractogram (a wavelength of 1.5418 Å), based on a DFT-relaxed cell (PBE, Alexandria).
Peak positions follow from Bragg's law for the DFT cell and can differ from measured ones.

Cell and atoms:
```
data_Pr2ScGaO6
_symmetry_space_group_name_H-M 'P 1 21/c 1'
_symmetry_Int_Tables_number 14
_cell_length_a 5.576
_cell_length_b 5.728
_cell_length_c 9.707
_cell_angle_alpha 90.00
_cell_angle_beta 124.76
_cell_angle_gamma 90.00
loop_
_symmetry_equiv_pos_as_xyz
'x,y,z'
'-x,-y,-z'
'-x,y+1/2,-z+1/2'
'x,-y+1/2,z+1/2'
loop_
_atom_site_label
_atom_site_type_symbol
_atom_site_fract_x
_atom_site_fract_y
_atom_site_fract_z
Pr1 Pr 0.236 0.051 0.249
Sc1 Sc 0.500 0.000 0.000
Ga1 Ga 0.000 0.000 0.500
O1 O 0.150 0.211 0.949
O2 O 0.238 0.702 0.950
O3 O 0.338 0.029 0.744
```

Peak list (12 most intense, 2θ = 10–90°, in order of rising 2θ)
2θ 22.3, intensity 48.6, (0 0 2)
2θ 24.9, intensity 22.6, (1 1 -2)
2θ 31.2, intensity 42.3, (0 2 0)
2θ 31.6, intensity 100.0, (1 1 1)
2θ 31.8, intensity 99.4, (1 1 -3)
2θ 32.1, intensity 47.6, (2 0 -2)
2θ 45.4, intensity 75.1, (0 0 4)
2θ 51.9, intensity 23.9, (1 3 -2)
2θ 55.9, intensity 22.5, (1 3 -3)
2θ 56.2, intensity 19.4, (0 2 4)
2θ 56.9, intensity 33.2, (3 1 -1)
2θ 57.1, intensity 22.7, (3 1 -5)


# 8
Sr2PrGaO5: computed powder diffractogram (a wavelength of 1.5418 Å), based on a DFT-relaxed cell (PBE, Alexandria).
Peak positions follow from Bragg's law for the DFT cell and can differ from measured ones.

Cell and atoms:
```
data_Sr2PrGaO5
_symmetry_space_group_name_H-M 'F m m m'
_symmetry_Int_Tables_number 69
_symmetry_space_group_name_Hall '-F 2 2'
_cell_length_a 9.670
_cell_length_b 9.713
_cell_length_c 11.406
_cell_angle_alpha 90.00
_cell_angle_beta 90.00
_cell_angle_gamma 90.00
loop_
_atom_site_label
_atom_site_type_symbol
_atom_site_fract_x
_atom_site_fract_y
_atom_site_fract_z
Sr1 Sr 0.174 0.000 0.000
Sr2 Sr 0.250 0.250 0.250
Pr1 Pr 0.000 0.179 0.500
Ga1 Ga 0.000 0.000 0.248
O1 O 0.000 0.149 0.145
O2 O 0.141 0.000 0.358
O3 O 0.250 0.250 0.000
```

Peak list (12 most intense, 2θ = 10–90°, in order of rising 2θ)
2θ 30.1, intensity 27.4, (1 3 1)
2θ 30.2, intensity 17.3, (3 1 1)
2θ 30.4, intensity 100.0, (2 2 2)
2θ 31.4, intensity 35.4, (0 0 4)
2θ 37.0, intensity 11.0, (0 4 0)
2θ 37.2, intensity 15.9, (4 0 0)
2θ 37.7, intensity 62.2, (1 3 3)
2θ 41.7, intensity 9.4, (4 2 0)
2θ 49.4, intensity 13.5, (4 0 4)
2θ 49.8, intensity 19.1, (1 3 5)
2θ 55.3, intensity 20.4, (2 2 6)
2θ 56.0, intensity 16.4, (4 4 2)


# 9
SrPrGaO4: computed powder diffractogram (a wavelength of 1.5418 Å), based on a DFT-relaxed cell (PBE, Alexandria).
Peak positions follow from Bragg's law for the DFT cell and can differ from measured ones.

Cell and atoms:
```
data_SrPrGaO4
_symmetry_space_group_name_H-M 'C m c m'
_symmetry_Int_Tables_number 63
_symmetry_space_group_name_Hall '-C 2c 2'
_cell_length_a 5.466
_cell_length_b 12.678
_cell_length_c 5.463
_cell_angle_alpha 90.00
_cell_angle_beta 90.00
_cell_angle_gamma 90.00
loop_
_atom_site_label
_atom_site_type_symbol
_atom_site_fract_x
_atom_site_fract_y
_atom_site_fract_z
Sr1 Sr 0.000 0.104 0.250
Pr1 Pr 0.000 0.389 0.250
Ga1 Ga 0.000 0.244 0.750
O1 O 0.000 0.087 0.750
O2 O 0.000 0.425 0.750
O3 O 0.250 0.250 0.000
```

Peak list (12 most intense, 2θ = 10–90°, in order of rising 2θ)
2θ 24.1, intensity 9.6, (1 1 1)
2θ 31.4, intensity 100.0, (1 3 1)
2θ 32.8, intensity 69.3, (2 0 0)
2θ 42.7, intensity 16.8, (1 5 1)
2θ 42.8, intensity 12.7, (0 6 0)
2θ 43.7, intensity 22.2, (2 4 0)
2θ 47.0, intensity 35.9, (2 0 2)
2θ 54.9, intensity 14.2, (2 6 0)
2θ 57.6, intensity 37.6, (3 3 1)
2θ 65.4, intensity 8.7, (3 5 1)
2θ 65.5, intensity 12.9, (2 6 2)
2θ 68.7, intensity 10.8, (4 0 0)


# 10
GaPt3O8: computed powder diffractogram (a wavelength of 1.5418 Å), based on a DFT-relaxed cell (PBE, Alexandria).
Peak positions follow from Bragg's law for the DFT cell and can differ from measured ones.

Cell and atoms:
```
data_GaPt3O8
_symmetry_space_group_name_H-M 'C 1 2/m 1'
_symmetry_Int_Tables_number 12
_cell_length_a 10.308
_cell_length_b 6.251
_cell_length_c 6.129
_cell_angle_alpha 90.00
_cell_angle_beta 123.47
_cell_angle_gamma 90.00
loop_
_symmetry_equiv_pos_as_xyz
'x,y,z'
'-x,-y,-z'
'-x,y,-z'
'x,-y,z'
'x+1/2,y+1/2,z'
'-x+1/2,-y+1/2,-z'
'-x+1/2,y+1/2,-z'
'x+1/2,-y+1/2,z'
loop_
_atom_site_label
_atom_site_type_symbol
_atom_site_fract_x
_atom_site_fract_y
_atom_site_fract_z
Ga1 Ga 0.000 0.000 0.000
Pt1 Pt 0.000 0.500 0.000
Pt2 Pt 0.250 0.250 0.500
O1 O 0.017 0.252 0.228
O2 O 0.235 0.000 0.275
O3 O 0.235 0.500 0.271
```

Peak list (12 most intense, 2θ = 10–90°, in order of rising 2θ)
2θ 18.2, intensity 100.0, (2 0 -1)
2θ 33.6, intensity 36.1, (0 2 1)
2θ 33.8, intensity 19.6, (2 0 1)
2θ 35.1, intensity 11.0, (0 0 2)
2θ 35.5, intensity 21.1, (2 2 0)
2θ 36.9, intensity 10.6, (4 0 -2)
2θ 41.3, intensity 30.2, (2 2 -2)
2θ 42.0, intensity 14.5, (4 0 0)
2θ 46.0, intensity 13.8, (4 2 -1)
2θ 55.3, intensity 11.9, (4 2 -3)
2θ 59.1, intensity 15.6, (2 2 2)
2θ 61.6, intensity 8.2, (6 2 -2)


# 11
GaPt2O6: computed powder diffractogram (a wavelength of 1.5418 Å), based on a DFT-relaxed cell (PBE, Alexandria).
Peak positions follow from Bragg's law for the DFT cell and can differ from measured ones.

Cell and atoms:
```
data_GaPt2O6
_symmetry_space_group_name_H-M 'P -3 1 m'
_symmetry_Int_Tables_number 162
_symmetry_space_group_name_Hall '-P 3 2'
_cell_length_a 5.1507
_cell_length_b 5.1507
_cell_length_c 4.2973
_cell_angle_alpha 90.00
_cell_angle_beta 90.00
_cell_angle_gamma 120.00
loop_
_atom_site_label
_atom_site_type_symbol
_atom_site_fract_x
_atom_site_fract_y
_atom_site_fract_z
Ga1 Ga 0.0000 0.0000 0.0000
Pt1 Pt 0.3333 0.6667 0.5000
O1 O 0.0000 0.3419 0.7543
```

Peak list (12 most intense, 2θ = 10–90°, in order of rising 2θ)
2θ 19.9, intensity 25.2, (1 0 0)
2θ 20.7, intensity 49.7, (0 0 1)
2θ 28.8, intensity 100.0, (1 0 1)
2θ 34.8, intensity 71.8, (1 1 0)
2θ 40.9, intensity 58.4, (2 -1 1)
2θ 45.8, intensity 28.5, (2 0 1)
2θ 55.7, intensity 56.7, (1 1 2)
2θ 58.8, intensity 27.1, (3 -1 1)
2θ 62.5, intensity 23.1, (3 0 0)
2θ 66.5, intensity 13.1, (3 0 1)
2θ 78.2, intensity 13.0, (3 0 2)
2θ 88.5, intensity 15.4, (4 -2 2)


# 12
Ga2Pt2O7: computed powder diffractogram (a wavelength of 1.5418 Å), based on a DFT-relaxed cell (PBE, Alexandria).
Peak positions follow from Bragg's law for the DFT cell and can differ from measured ones.

Cell and atoms:
Cell: 9.807 9.807 9.807 Å, 90.00 90.00 90.00°
Space group Fd-3m (No. 227, origin choice 2)
One atom of each set of equivalent atoms:
Ga (0.000, 0.000, 0.000) (multiplicity 16)
Pt (0.000, 0.000, 0.500) (multiplicity 16)
O (0.102, 0.375, 0.875) (multiplicity 48)
O (0.125, 0.125, 0.125) (multiplicity 8)

Peak list (12 most intense, 2θ = 10–90°, in order of rising 2θ)
2θ 15.7, intensity 25.0, (1 1 1)
2θ 30.2, intensity 21.1, (3 1 1)
2θ 31.6, intensity 100.0, (2 2 2)
2θ 36.7, intensity 31.7, (4 0 0)
2θ 48.2, intensity 6.7, (3 3 3)
2θ 52.8, intensity 48.7, (4 4 0)
2θ 55.4, intensity 6.2, (5 3 1)
2θ 62.9, intensity 42.1, (6 2 2)
2θ 66.0, intensity 8.9, (4 4 4)
2θ 77.9, intensity 7.2, (8 0 0)
2θ 86.5, intensity 17.8, (6 6 2)
2θ 89.3, intensity 13.2, (8 4 0)